(1)
Na3Sr4Sn5: computed X-ray powder pattern (copper Kα), based on the PBE geometry in Alexandria.

Crystal structure
```
12
Lattice="7.3488 -2.6984 0.0000 7.3488 2.6984 0.0000 -6.3166 0.0000 11.4058" Properties=species:S:1:pos:R:3 pbc="T T T"
Na 0.0000 0.0000 0.0000
Na -0.3012 0.0000 8.6589
Na 8.6823 0.0000 2.7469
Sr 2.2225 0.0000 5.6208
Sr 4.8238 0.0000 2.0905
Sr 3.5573 0.0000 9.3154
Sr 6.1586 0.0000 5.7850
Sn -3.0690 0.0000 7.1887
Sn -0.4306 0.0000 3.3905
Sn 7.3488 0.0000 0.0000
Sn 8.8117 0.0000 8.0153
Sn 11.4501 0.0000 4.2171
```

The 12 most intense peaks (10° ≤ 2θ ≤ 90°), by intensity:
2θ = 33.19°, rel. 100
2θ = 13.77°, rel. 100
2θ = 28.00°, rel. 89
2θ = 35.41°, rel. 76
2θ = 20.77°, rel. 66
2θ = 32.20°, rel. 59
2θ = 30.48°, rel. 52
2θ = 26.71°, rel. 38
2θ = 36.98°, rel. 34
2θ = 34.78°, rel. 34
2θ = 25.88°, rel. 34
2θ = 50.53°, rel. 28

=====

(2)
Na10SrSn12: computed X-ray powder pattern (copper Kα), based on the PBE geometry in Alexandria.

Crystal structure
```
23
Lattice="-5.6558 5.6558 5.6558 5.6558 -5.6558 5.6558 5.6558 5.6558 -5.6558" Properties=species:S:1:pos:R:3 pbc="T T T"
Na 2.1840 2.1840 -2.1840
Na 2.1840 -2.1840 2.1840
Na 5.6558 2.8279 0.0000
Na 5.6558 0.0000 2.8279
Na -2.1840 2.1840 2.1840
Na 2.8279 5.6558 0.0000
Na 2.8279 0.0000 5.6558
Na 3.4718 3.4718 3.4718
Na 0.0000 5.6558 2.8279
Na 0.0000 2.8279 5.6558
Sr 0.0000 0.0000 0.0000
Sn 8.1322 1.0426 -1.0426
Sn 8.1322 -1.0426 1.0426
Sn 3.1794 1.0426 1.0426
Sn 4.6132 4.6132 -2.4764
Sn 4.6132 -2.4764 4.6132
Sn 1.0426 3.1794 1.0426
Sn 1.0426 1.0426 3.1794
Sn 1.0426 8.1322 -1.0426
Sn 1.0426 -1.0426 8.1322
Sn -1.0426 8.1322 1.0426
Sn -1.0426 1.0426 8.1322
Sn -2.4764 4.6132 4.6132
```

The 12 most intense peaks (10° ≤ 2θ ≤ 90°), by intensity:
2θ = 19.22°, rel. 100
2θ = 37.29°, rel. 85
2θ = 33.61°, rel. 63
2θ = 11.06°, rel. 48
2θ = 40.67°, rel. 47
2θ = 29.55°, rel. 46
2θ = 57.62°, rel. 34
2θ = 27.31°, rel. 26
2θ = 60.11°, rel. 25
2θ = 43.84°, rel. 25
2θ = 76.22°, rel. 22
2θ = 35.49°, rel. 22

=====

(3)
NaSrSn4: computed X-ray powder pattern (copper Kα), based on the PBE geometry in Alexandria.

Crystal structure
```
6
Lattice="3.9065 -2.2584 0.0000 3.9065 2.2584 0.0000 -2.5776 0.0000 11.4800" Properties=species:S:1:pos:R:3 pbc="T T T"
Na 0.0000 0.0000 0.0000
Sr 2.6177 0.0000 5.7400
Sn 0.0091 0.0000 3.4696
Sn 2.6147 0.0000 2.1150
Sn 2.6207 0.0000 9.3650
Sn 5.2263 0.0000 8.0105
```

The 12 most intense peaks (10° ≤ 2θ ≤ 90°), by intensity:
2θ = 34.71°, rel. 100
2θ = 39.95°, rel. 71
2θ = 25.02°, rel. 60
2θ = 23.33°, rel. 51
2θ = 30.90°, rel. 43
2θ = 15.44°, rel. 40
2θ = 53.94°, rel. 29
2θ = 58.58°, rel. 20
2θ = 43.07°, rel. 20
2θ = 69.14°, rel. 19
2θ = 43.46°, rel. 18
2θ = 72.55°, rel. 13

=====

(4)
Na2SrSnTe4: computed X-ray powder pattern (copper Kα), based on the PBE geometry in Alexandria.

Crystal structure
```
16
Lattice="-4.3294 4.7896 6.4819 4.3294 -4.7896 6.4819 4.3294 4.7896 -6.4819" Properties=species:S:1:pos:R:3 pbc="T T T"
Na 0.0000 0.0000 0.0000
Na -2.1647 2.3948 3.2410
Na 0.0000 4.7896 0.0000
Na 2.1647 2.3948 3.2410
Sr 4.3294 0.0000 0.0000
Sr 0.0000 0.0000 6.4819
Sn 2.1647 2.3948 -3.2410
Sn 2.1647 -2.3948 3.2410
Te 4.3294 4.5652 -3.2982
Te 4.3294 -0.2244 3.2982
Te 2.0896 2.3948 -0.1989
Te 2.2398 -2.3948 6.2830
Te 2.0896 7.1844 0.1989
Te 2.2398 2.3948 6.6808
Te 0.0000 5.0140 3.1837
Te 0.0000 0.2244 9.7801
```

The 12 most intense peaks (10° ≤ 2θ ≤ 90°), by intensity:
2θ = 27.78°, rel. 100
2θ = 39.50°, rel. 74
2θ = 27.52°, rel. 50
2θ = 11.49°, rel. 34
2θ = 37.55°, rel. 22
2θ = 41.72°, rel. 21
2θ = 47.19°, rel. 20
2θ = 50.72°, rel. 18
2θ = 23.08°, rel. 16
2θ = 64.79°, rel. 15
2θ = 64.40°, rel. 15
2θ = 24.73°, rel. 13

=====

(5)
Na2TcSn: computed X-ray powder pattern (copper Kα), based on the PBE geometry in Alexandria.

Crystal structure
```
8
Lattice="-4.2162 4.2162 2.7145 4.2162 -4.2162 2.7145 4.2162 4.2162 -2.7145" Properties=species:S:1:pos:R:3 pbc="T T T"
Na 6.3243 2.0010 -0.6786
Na 2.0010 2.1081 0.6786
Na -2.1081 2.2152 2.0359
Na 2.2152 2.1081 3.3932
Tc 0.0000 0.0000 0.0000
Tc 0.0000 4.2162 1.3573
Sn 4.2162 0.0000 1.3573
Sn 0.0000 0.0000 2.7145
```

The 12 most intense peaks (10° ≤ 2θ ≤ 90°), by intensity:
2θ = 29.97°, rel. 100
2θ = 21.07°, rel. 97
2θ = 36.36°, rel. 84
2θ = 47.82°, rel. 77
2θ = 42.90°, rel. 37
2θ = 66.17°, rel. 29
2θ = 48.27°, rel. 23
2θ = 57.47°, rel. 22
2θ = 74.32°, rel. 21
2θ = 89.84°, rel. 20
2θ = 88.83°, rel. 19
2θ = 70.65°, rel. 16

=====

(6)
NaSn5Te7: computed X-ray powder pattern (copper Kα), based on the PBE geometry in Alexandria.

Crystal structure
```
26
Lattice="7.3856 -2.2461 0.0000 7.3856 2.2461 0.0000 -0.0062 0.0000 25.5518" Properties=species:S:1:pos:R:3 pbc="T T T"
Na 2.5703 0.0000 6.3836
Na 12.1947 0.0000 19.1682
Sn 0.0000 0.0000 0.0000
Sn -0.0031 0.0000 12.7759
Sn 4.2024 0.0000 14.7568
Sn 4.1989 0.0000 23.5707
Sn 6.4418 0.0000 3.8792
Sn 6.4376 0.0000 8.8987
Sn 8.3274 0.0000 16.6531
Sn 8.3232 0.0000 21.6726
Sn 10.5661 0.0000 1.9811
Sn 10.5626 0.0000 10.7950
Te 1.3028 0.0000 2.8725
Te 1.2998 0.0000 9.9036
Te 2.8466 0.0000 17.4808
Te 2.8438 0.0000 20.8471
Te 5.3235 0.0000 0.8911
Te 5.3211 0.0000 11.8851
Te 6.9203 0.0000 19.1587
Te 7.8447 0.0000 6.3931
Te 9.4439 0.0000 13.6667
Te 9.4415 0.0000 24.6607
Te 11.9212 0.0000 4.7047
Te 11.9185 0.0000 8.0710
Te 13.4652 0.0000 15.6482
Te 13.4622 0.0000 22.6793
```

The 12 most intense peaks (10° ≤ 2θ ≤ 90°), by intensity:
2θ = 27.77°, rel. 100
2θ = 27.25°, rel. 65
2θ = 28.87°, rel. 61
2θ = 40.62°, rel. 54
2θ = 27.10°, rel. 54
2θ = 40.15°, rel. 43
2θ = 42.33°, rel. 42
2θ = 37.99°, rel. 41
2θ = 30.49°, rel. 39
2θ = 41.10°, rel. 39
2θ = 39.19°, rel. 26
2θ = 49.20°, rel. 25

=====

(7)
NaSnTe4: computed X-ray powder pattern (copper Kα), based on the PBE geometry in Alexandria.

Crystal structure
```
12
Lattice="6.1173 0.0000 0.0000 0.0000 8.0815 0.0000 -2.8766 0.0000 8.7560" Properties=species:S:1:pos:R:3 pbc="T T T"
Na -0.7191 1.7227 2.1890
Na -2.1574 6.3589 6.5670
Sn 0.9012 2.0097 6.5670
Sn 2.3395 6.0718 2.1890
Te -1.0885 3.6122 7.7491
Te 0.3498 4.4693 3.3711
Te 1.5569 0.0125 0.2793
Te 0.1186 8.0691 4.6573
Te 3.1221 0.0125 4.0988
Te 1.6839 8.0691 8.4768
Te 2.8910 3.6122 5.3849
Te 4.3293 4.4693 1.0069
```

The 12 most intense peaks (10° ≤ 2θ ≤ 90°), by intensity:
2θ = 31.19°, rel. 100
2θ = 38.15°, rel. 81
2θ = 30.10°, rel. 72
2θ = 23.97°, rel. 71
2θ = 44.82°, rel. 67
2θ = 14.92°, rel. 55
2θ = 30.77°, rel. 46
2θ = 22.00°, rel. 46
2θ = 23.58°, rel. 35
2θ = 23.11°, rel. 33
2θ = 42.79°, rel. 33
2θ = 36.86°, rel. 29

=====

(8)
Na3SnTe4: computed X-ray powder pattern (copper Kα), based on the PBE geometry in Alexandria.

Crystal structure
```
32
Lattice="8.8209 0.0000 0.0000 0.0000 10.7766 0.0000 0.0000 0.0000 11.8253" Properties=species:S:1:pos:R:3 pbc="T T T"
Na 1.4866 0.2901 2.7970
Na 1.4866 5.0982 2.7970
Na 1.9568 2.6942 11.2228
Na 2.4536 8.0825 5.3102
Na 2.9238 5.6784 8.7096
Na 2.9238 10.4866 8.7096
Na 5.8970 0.2901 3.1157
Na 5.8970 5.0982 3.1157
Na 6.3673 2.6942 6.5151
Na 6.8640 8.0825 0.6025
Na 7.3343 5.6784 9.0283
Na 7.3343 10.4866 9.0283
Sn 1.2659 2.6942 6.1034
Sn 3.1446 8.0825 0.1907
Sn 5.6763 2.6942 11.6346
Sn 7.5550 8.0825 5.7219
Te 8.8200 2.6942 8.5719
Te 0.0008 8.0825 3.2534
Te 0.4260 8.0825 7.9428
Te 1.4456 5.8348 11.5617
Te 1.4456 10.3302 11.5617
Te 2.9649 0.4465 5.6491
Te 2.9649 4.9419 5.6491
Te 3.9844 2.6942 2.0301
Te 4.4096 2.6942 9.1661
Te 4.4113 8.0825 2.6592
Te 4.8364 8.0825 9.7951
Te 5.8560 5.8348 6.1762
Te 5.8560 10.3302 6.1762
Te 7.3753 0.4465 0.2636
Te 7.3753 4.9419 0.2636
Te 8.3948 2.6942 3.8825
```

The 12 most intense peaks (10° ≤ 2θ ≤ 90°), by intensity:
2θ = 20.73°, rel. 100
2θ = 35.62°, rel. 69
2θ = 26.11°, rel. 62
2θ = 14.99°, rel. 51
2θ = 41.84°, rel. 50
2θ = 25.19°, rel. 44
2θ = 30.23°, rel. 40
2θ = 33.25°, rel. 36
2θ = 22.32°, rel. 28
2θ = 43.01°, rel. 23
2θ = 24.74°, rel. 23
2θ = 42.17°, rel. 16

=====

(9)
Na2Sn3Te6: computed X-ray powder pattern (copper Kα), based on the PBE geometry in Alexandria.

Crystal structure
```
11
Lattice="3.7021 -6.4182 0.0000 3.7021 6.4182 0.0000 -2.5120 0.0000 7.7671" Properties=species:S:1:pos:R:3 pbc="T T T"
Na 3.7021 4.3088 0.0000
Na 3.7021 -4.3088 0.0000
Sn -1.2560 0.0000 3.8836
Sn 2.4461 2.2075 3.8836
Sn 2.4461 -2.2075 3.8836
Te -0.0144 2.1252 5.6678
Te 1.2197 0.0000 2.1426
Te -0.0144 -2.1252 5.6678
Te 4.9066 2.1252 2.0994
Te 3.6725 0.0000 5.6245
Te 4.9066 -2.1252 2.0994
```

The 12 most intense peaks (10° ≤ 2θ ≤ 90°), by intensity:
2θ = 28.56°, rel. 100
2θ = 11.39°, rel. 37
2θ = 42.26°, rel. 35
2θ = 39.29°, rel. 26
2θ = 39.47°, rel. 13
2θ = 51.74°, rel. 13
2θ = 25.23°, rel. 11
2θ = 69.03°, rel. 11
2θ = 24.33°, rel. 9
2θ = 36.33°, rel. 8
2θ = 59.19°, rel. 8
2θ = 75.22°, rel. 8

=====

(10)
Na3Tl3Sn2: computed X-ray powder pattern (copper Kα), based on the PBE geometry in Alexandria.

Crystal structure
```
8
Lattice="10.2673 -2.3504 0.0000 10.2673 2.3504 0.0000 -1.0774 0.0000 4.6708" Properties=species:S:1:pos:R:3 pbc="T T T"
Na 0.0000 0.0000 0.0000
Na 1.9694 0.0000 2.9523
Na 17.4879 0.0000 1.7185
Tl 6.6411 0.0000 4.0708
Tl 9.7287 0.0000 2.3354
Tl 12.8162 0.0000 0.5999
Sn 4.8141 0.0000 1.2145
Sn 14.6432 0.0000 3.4563
```

The 12 most intense peaks (10° ≤ 2θ ≤ 90°), by intensity:
2θ = 32.02°, rel. 100
2θ = 32.21°, rel. 98
2θ = 19.40°, rel. 68
2θ = 35.90°, rel. 36
2θ = 37.53°, rel. 33
2θ = 22.94°, rel. 32
2θ = 38.29°, rel. 31
2θ = 22.75°, rel. 26
2θ = 53.50°, rel. 24
2θ = 54.70°, rel. 22
2θ = 36.80°, rel. 21
2θ = 62.34°, rel. 15

=====

(11)
Na3Tl7Sn: computed X-ray powder pattern (copper Kα), based on the PBE geometry in Alexandria.

Crystal structure
```
11
Lattice="5.7240 0.0000 0.0000 1.7017 7.6741 0.0000 1.8670 0.5853 7.6725" Properties=species:S:1:pos:R:3 pbc="T T T"
Na 0.0000 0.0000 0.0000
Na 2.3310 2.0266 1.9303
Na 6.8660 6.2283 5.8047
Tl 4.0334 7.3371 4.4962
Tl 4.1104 4.8015 6.9782
Tl 4.5547 6.4615 1.3311
Tl 5.1525 0.9714 3.3799
Tl 5.1063 3.2187 0.6964
Tl 7.3867 2.9144 5.1647
Tl 7.3999 5.2966 2.5877
Sn 4.5226 4.1803 3.7892
```

The 12 most intense peaks (10° ≤ 2θ ≤ 90°), by intensity:
2θ = 31.79°, rel. 100
2θ = 32.58°, rel. 48
2θ = 32.92°, rel. 47
2θ = 35.40°, rel. 39
2θ = 35.85°, rel. 37
2θ = 11.55°, rel. 29
2θ = 16.98°, rel. 27
2θ = 40.87°, rel. 26
2θ = 21.77°, rel. 14
2θ = 49.94°, rel. 14
2θ = 21.93°, rel. 13
2θ = 54.99°, rel. 13

=====

(12)
Na2Tl2Sn3: computed X-ray powder pattern (copper Kα), based on the PBE geometry in Alexandria.

Crystal structure
```
7
Lattice="2.4754 -11.5855 0.0000 2.4754 11.5855 0.0000 0.0000 0.0000 3.4262" Properties=species:S:1:pos:R:3 pbc="T T T"
Na 2.4754 8.2444 0.0000
Na 2.4754 -8.2444 0.0000
Tl 2.4754 4.8458 1.7131
Tl 2.4754 -4.8458 1.7131
Sn 0.0000 0.0000 0.0000
Sn 2.4754 1.5611 1.7131
Sn 2.4754 -1.5611 1.7131
```

The 12 most intense peaks (10° ≤ 2θ ≤ 90°), by intensity:
2θ = 32.54°, rel. 100
2θ = 32.00°, rel. 74
2θ = 36.29°, rel. 39
2θ = 21.32°, rel. 35
2θ = 42.12°, rel. 33
2θ = 26.01°, rel. 31
2θ = 15.30°, rel. 30
2θ = 37.35°, rel. 30
2θ = 64.02°, rel. 29
2θ = 40.80°, rel. 28
2θ = 55.73°, rel. 23
2θ = 27.14°, rel. 22

=====

Repeat the tenth record exactly.
Na3Tl3Sn2: computed X-ray powder pattern (copper Kα), based on the PBE geometry in Alexandria.

Crystal structure
```
8
Lattice="10.2673 -2.3504 0.0000 10.2673 2.3504 0.0000 -1.0774 0.0000 4.6708" Properties=species:S:1:pos:R:3 pbc="T T T"
Na 0.0000 0.0000 0.0000
Na 1.9694 0.0000 2.9523
Na 17.4879 0.0000 1.7185
Tl 6.6411 0.0000 4.0708
Tl 9.7287 0.0000 2.3354
Tl 12.8162 0.0000 0.5999
Sn 4.8141 0.0000 1.2145
Sn 14.6432 0.0000 3.4563
```

The 12 most intense peaks (10° ≤ 2θ ≤ 90°), by intensity:
2θ = 32.02°, rel. 100
2θ = 32.21°, rel. 98
2θ = 19.40°, rel. 68
2θ = 35.90°, rel. 36
2θ = 37.53°, rel. 33
2θ = 22.94°, rel. 32
2θ = 38.29°, rel. 31
2θ = 22.75°, rel. 26
2θ = 53.50°, rel. 24
2θ = 54.70°, rel. 22
2θ = 36.80°, rel. 21
2θ = 62.34°, rel. 15

=====

What did the twelfth record say?
Na2Tl2Sn3: computed X-ray powder pattern (copper Kα), based on the PBE geometry in Alexandria.

Crystal structure
```
7
Lattice="2.4754 -11.5855 0.0000 2.4754 11.5855 0.0000 0.0000 0.0000 3.4262" Properties=species:S:1:pos:R:3 pbc="T T T"
Na 2.4754 8.2444 0.0000
Na 2.4754 -8.2444 0.0000
Tl 2.4754 4.8458 1.7131
Tl 2.4754 -4.8458 1.7131
Sn 0.0000 0.0000 0.0000
Sn 2.4754 1.5611 1.7131
Sn 2.4754 -1.5611 1.7131
```

The 12 most intense peaks (10° ≤ 2θ ≤ 90°), by intensity:
2θ = 32.54°, rel. 100
2θ = 32.00°, rel. 74
2θ = 36.29°, rel. 39
2θ = 21.32°, rel. 35
2θ = 42.12°, rel. 33
2θ = 26.01°, rel. 31
2θ = 15.30°, rel. 30
2θ = 37.35°, rel. 30
2θ = 64.02°, rel. 29
2θ = 40.80°, rel. 28
2θ = 55.73°, rel. 23
2θ = 27.14°, rel. 22